1.
Ti7As2P2: theoretical X-ray diffraction stick pattern (λ = 1.5418 Å (Cu Kα)), based on a crystal structure in Alexandria, relaxed with GGA-PBE.
Peak positions follow from Bragg's law for the DFT cell and can differ from measured ones.

Main lines, in order of falling intensity (2θ from 10° to 80°):
- d = 2.249 Å, 2θ 40.10, I = 100.0
- d = 2.551 Å, 2θ 35.18, I = 46.4
- d = 2.219 Å, 2θ 40.67, I = 46.2
- d = 1.987 Å, 2θ 45.67, I = 36.2
- d = 6.357 Å, 2θ 13.93, I = 29.1
- d = 1.741 Å, 2θ 52.58, I = 27.7
- d = 2.419 Å, 2θ 37.17, I = 26.2
- d = 1.864 Å, 2θ 48.85, I = 22.2
- d = 2.091 Å, 2θ 43.26, I = 20.5
- d = 2.226 Å, 2θ 40.53, I = 14.5

Structural model:
```
Ti7As2P2
1.0
-1.741 6.357 3.924
1.741 -6.357 3.924
1.741 6.357 -3.924
Ti As P
7 2 2
Direct
0.000 0.000 0.000
0.284 0.397 0.887
0.304 0.628 0.677
0.510 0.397 0.113
0.585 0.224 0.361
0.863 0.224 0.639
0.951 0.628 0.323
0.158 0.924 0.235
0.689 0.924 0.765
0.246 0.746 0.500
0.664 0.664 0.000
```


2.
La4CdIn2Ag: theoretical X-ray diffraction stick pattern (λ = 1.5418 Å (Cu Kα)), based on a crystal structure in Alexandria, relaxed with GGA-PBE.
Peak positions follow from Bragg's law for the DFT cell and can differ from measured ones.

Main lines, in order of falling intensity (2θ from 10° to 80°):
- d = 2.778 Å, 2θ 32.22, I = 100.0
- d = 1.604 Å, 2θ 57.46, I = 36.8
- d = 1.964 Å, 2θ 46.21, I = 18.0
- d = 1.242 Å, 2θ 76.71, I = 15.3
- d = 1.389 Å, 2θ 67.42, I = 11.2
- d = 3.929 Å, 2θ 22.63, I = 0.8
- d = 1.520 Å, 2θ 60.94, I = 0.6
- d = 3.026 Å, 2θ 29.52, I = 0.5

Structural model:
```
La4CdIn2Ag
1.0
2.776 1.603 9.083
-2.776 1.603 9.083
0.000 -3.206 9.083
La Cd In Ag
4 1 2 1
Direct
0.122 0.122 0.122
0.372 0.372 0.372
0.628 0.628 0.628
0.878 0.878 0.878
0.500 0.500 0.500
0.248 0.248 0.248
0.752 0.752 0.752
0.000 0.000 0.000
```


3.
La3Ag2Pb: theoretical X-ray diffraction stick pattern (λ = 1.5418 Å (Cu Kα)), based on a crystal structure in Alexandria, relaxed with GGA-PBE.
Peak positions follow from Bragg's law for the DFT cell and can differ from measured ones.

Main lines, in order of falling intensity (2θ from 10° to 80°):
- d = 2.790 Å, 2θ 32.08, I = 100.0
- d = 2.664 Å, 2θ 33.64, I = 44.0
- d = 1.561 Å, 2θ 59.18, I = 34.0
- d = 1.637 Å, 2θ 56.18, I = 20.0
- d = 1.884 Å, 2θ 48.31, I = 15.7
- d = 1.395 Å, 2θ 67.10, I = 11.6
- d = 2.075 Å, 2θ 43.61, I = 10.7
- d = 1.299 Å, 2θ 72.82, I = 9.2
- d = 1.202 Å, 2θ 79.78, I = 7.1
- d = 1.332 Å, 2θ 70.72, I = 4.9

Structural model:
```
La3Ag2Pb
1.0
2.664 -7.993 0.000
2.664 7.993 0.000
0.000 0.000 4.151
La Ag Pb
3 2 1
Direct
0.000 0.000 0.000
0.329 0.671 0.000
0.671 0.329 0.000
0.167 0.833 0.500
0.833 0.167 0.500
0.500 0.500 0.500
```


4.
Rb2NpPbBr8: theoretical X-ray diffraction stick pattern (λ = 1.5418 Å (Cu Kα)), based on a crystal structure in Alexandria, relaxed with GGA-PBE.
Peak positions follow from Bragg's law for the DFT cell and can differ from measured ones.

Main lines, in order of falling intensity (2θ from 10° to 80°):
- d = 5.394 Å, 2θ 16.43, I = 100.0
- d = 2.681 Å, 2θ 33.42, I = 95.7
- d = 3.506 Å, 2θ 25.41, I = 85.1
- d = 3.873 Å, 2θ 22.96, I = 79.7
- d = 7.914 Å, 2θ 11.18, I = 68.7
- d = 2.290 Å, 2θ 39.35, I = 57.5
- d = 5.209 Å, 2θ 17.02, I = 55.6
- d = 7.135 Å, 2θ 12.41, I = 55.2
- d = 2.635 Å, 2θ 34.02, I = 44.0
- d = 2.304 Å, 2θ 39.09, I = 42.8

Structural model:
```
Rb2NpPbBr8
1.0
7.139 0.000 0.000
0.000 9.222 0.000
-0.277 0.000 7.914
Rb Np Pb Br
2 1 1 8
Direct
0.000 0.249 0.000
0.000 0.751 0.000
0.500 0.500 0.500
0.500 0.000 0.500
0.272 0.000 0.185
0.272 0.277 0.618
0.272 0.723 0.618
0.302 0.500 0.195
0.698 0.500 0.805
0.728 0.000 0.815
0.728 0.277 0.382
0.728 0.723 0.382
```